Entry 1:
# Tb2PmHo2Mg
Computed PXRD pattern, λ = 1.5418 Å (Cu Kα). Input: the GGA-PBE geometry in Alexandria.

Structural model:
```
12
Lattice="5.509 0.000 0.000 0.000 18.652 0.000 0.000 0.000 3.660" Properties=species:S:1:pos:R:3 pbc="T T T"
Tb 0.007 3.439 0.000
Tb 2.747 12.765 1.830
Tb 2.762 5.886 1.830
Tb 5.501 15.212 0.000
Pm 0.000 0.000 1.830
Pm 2.754 9.326 0.000
Ho 0.007 6.819 0.000
Ho 2.748 16.145 1.830
Ho 2.761 2.507 1.830
Ho 5.502 11.833 0.000
Mg 0.000 9.326 1.830
Mg 2.754 0.000 0.000
```

Largest 10 diffraction maxima, by intensity, 2θ = 10–90°:
2θ (°), I_rel
35.17, 100
30.86, 97
28.91, 97
32.51, 77
29.30, 67
28.72, 46
41.94, 30
43.92, 29
54.04, 28
56.81, 27


Entry 2:
# K4U3AuSe8
Computed PXRD pattern, λ = 1.5418 Å (Cu Kα). Input: the GGA-PBE geometry in Alexandria.

Structural model:
```
16
Lattice="7.335 -4.185 0.000 7.335 4.185 0.000 -4.881 0.000 7.699" Properties=species:S:1:pos:R:3 pbc="T T T"
K 0.000 0.000 0.000
K 3.667 2.093 0.000
K 3.667 -2.093 0.000
K 7.335 0.000 0.000
U -2.440 0.000 3.850
U 1.227 2.093 3.850
U 1.227 -2.093 3.850
Au 4.894 0.000 3.850
Se 3.640 2.129 5.415
Se -0.004 0.000 5.451
Se 2.333 0.000 2.246
Se 6.148 2.129 2.284
Se 3.640 -2.129 5.415
Se 7.455 0.000 5.453
Se 9.792 0.000 2.248
Se 6.148 -2.129 2.284
```

Largest 10 diffraction maxima, by intensity, 2θ = 10–90°:
2θ (°), I_rel
11.49, 100
29.03, 84
28.82, 43
39.86, 31
42.84, 31
36.80, 21
24.80, 19
50.13, 17
44.50, 16
52.79, 16


Entry 3:
# UTl3S4
Computed PXRD pattern, λ = 1.5418 Å (Cu Kα). Input: the GGA-PBE geometry in Alexandria.

Structural model:
```
16
Lattice="8.964 0.000 0.000 0.000 12.520 0.000 0.000 0.000 4.103" Properties=species:S:1:pos:R:3 pbc="T T T"
U 0.000 0.000 0.000
U 4.482 6.260 0.000
Tl 0.000 6.260 0.000
Tl 2.241 3.130 2.052
Tl 2.241 9.390 2.052
Tl 4.482 0.000 0.000
Tl 6.723 3.130 2.052
Tl 6.723 9.390 2.052
S 0.000 2.526 0.000
S 0.000 9.994 0.000
S 1.795 0.000 2.052
S 2.687 6.260 2.052
S 4.482 3.734 0.000
S 4.482 8.786 0.000
S 6.277 6.260 2.052
S 7.169 0.000 2.052
```

Largest 10 diffraction maxima, by intensity, 2θ = 10–90°:
2θ (°), I_rel
29.51, 100
24.42, 89
25.96, 74
41.50, 73
28.52, 51
48.52, 33
67.34, 29
51.09, 26
40.24, 20
50.06, 20